# 1
Diffraction record for Li6CdSi. The X-ray diffraction stick pattern is simulated, not measured: it uses a cell relaxed with PBE and Cu Ka.
Intensities are scaled so that the largest is 100.

```
Li6CdSi
1.0
4.449 0.000 0.000
0.000 6.481 0.000
0.000 0.000 9.025
Li Cd Si
12 2 2
Cartesian
0.000 0.000 0.000
0.000 1.544 6.651
0.000 1.697 2.138
0.000 3.241 4.512
0.000 4.784 2.138
0.000 4.937 6.651
2.225 0.000 6.209
2.225 1.611 8.800
2.225 1.630 4.287
2.225 3.241 1.697
2.225 4.852 4.287
2.225 4.870 8.800
2.225 0.000 2.153
2.225 3.241 6.665
0.000 0.000 4.330
0.000 3.241 8.843
```

Main lines, in order of rising 2θ (10° ≤ 2θ ≤ 90°):
two_theta, I_rel
16.84, 100
26.22, 66
27.52, 21
28.17, 39
38.71, 28
39.79, 52


# 2
Diffraction record for LiSm5Cd4. The X-ray diffraction stick pattern is simulated, not measured: it uses a cell relaxed with PBE and Cu Ka.
Intensities are scaled so that the largest is 100.

```
LiSm5Cd4
1.0
3.826 0.000 0.000
0.000 3.826 0.000
0.000 0.000 18.865
Li Sm Cd
1 5 4
Cartesian
0.000 0.000 0.000
1.913 1.913 1.891
1.913 1.913 5.643
1.913 1.913 9.433
1.913 1.913 13.222
1.913 1.913 16.974
0.000 0.000 3.717
0.000 0.000 7.526
0.000 0.000 11.339
0.000 0.000 15.148
```

Main lines, in order of rising 2θ (10° ≤ 2θ ≤ 90°):
two_theta, I_rel
33.11, 51
33.35, 100
47.53, 19
59.30, 38
59.76, 18
70.05, 11


# 3
Diffraction record for Li2Sm3Cd6. The X-ray diffraction stick pattern is simulated, not measured: it uses a cell relaxed with PBE and Cu Ka.
Intensities are scaled so that the largest is 100.

```
Li2Sm3Cd6
1.0
-2.311 2.311 12.693
2.311 -2.311 12.693
2.311 2.311 -12.693
Li Sm Cd
2 3 6
Cartesian
0.000 0.000 1.220
0.000 0.000 24.166
0.000 0.000 7.594
0.000 0.000 12.693
0.000 0.000 17.792
2.311 0.000 2.536
0.000 0.000 4.447
2.311 0.000 10.157
0.000 2.311 2.536
0.000 0.000 20.939
0.000 2.311 10.157
```

Main lines, in order of rising 2θ (10° ≤ 2θ ≤ 90°):
two_theta, I_rel
28.19, 35
30.77, 62
34.68, 100
35.36, 28
38.97, 71
53.63, 34


# 4
Diffraction record for Li4SmCd4. The X-ray diffraction stick pattern is simulated, not measured: it uses a cell relaxed with PBE and Cu Ka.
Intensities are scaled so that the largest is 100.

```
Li4SmCd4
1.0
6.240 0.000 0.000
0.000 6.240 0.000
0.000 0.000 9.853
Li Sm Cd
8 2 8
Cartesian
0.189 1.560 1.698
1.560 0.189 6.624
1.560 2.931 6.624
2.931 1.560 1.698
3.308 4.680 8.155
4.680 3.308 3.228
4.680 6.051 3.228
6.051 4.680 8.155
1.560 4.680 2.463
4.680 1.560 7.389
0.122 1.560 4.526
1.560 0.122 9.453
1.560 2.998 9.453
2.998 1.560 4.526
3.241 4.680 5.326
4.680 3.241 0.400
4.680 6.118 0.400
6.118 4.680 5.326
```

Main lines, in order of rising 2θ (10° ≤ 2θ ≤ 90°):
two_theta, I_rel
18.01, 27
30.05, 100
30.77, 42
33.37, 41
39.85, 30
45.03, 49